The following is a theoretical XRD peak list of CeTm4S7. It was derived from a crystal structure in the Materials Project, relaxed with PBE, using CuKα.

Crystal structure
Unit cell a=12.900 b=3.791 c=11.632 alpha=90.00 beta=104.69 gamma=90.00
Space group Cm (No. 8)
One atom of each set of equivalent atoms:
Ce 0.000 0.000 0.000
Tm 0.085 0.500 0.392
Tm 0.188 0.000 0.765
Tm 0.273 0.500 0.160
Tm 0.387 0.500 0.577
S 0.045 0.500 0.629
S 0.136 0.500 0.927
S 0.150 0.000 0.234
S 0.228 0.000 0.528
S 0.342 0.500 0.787
S 0.382 0.000 0.084
S 0.429 0.500 0.364

Main lines, in order of rising 2θ (10 to 90 degrees two-theta):
2θ (°), intensity, hkl
23.83, 100, 2 0 2
24.39, 86, 2 0 -3
26.36, 36, 1 1 1
27.67, 46, 4 0 -1
31.56, 41, 3 1 -1
33.19, 52, 3 1 -2
34.28, 46, 3 1 1
47.30, 39, 6 0 -4

=====

The following is a theoretical XRD peak list of Ce4Tm11S22. It was derived from a crystal structure in the Materials Project, relaxed with PBE, using CuKα.

Crystal structure
Unit cell a=38.994 b=3.932 c=11.315 alpha=90.00 beta=91.40 gamma=90.00
Space group C2/m (No. 12)
One atom of each set of equivalent atoms:
Ce 0.104 0.000 0.012
Ce 0.133 0.500 0.653
Tm 0.000 0.000 0.000
Tm 0.038 0.500 0.729
Tm 0.070 0.000 0.360
Tm 0.158 0.500 0.302
Tm 0.202 0.000 0.942
Tm 0.236 0.500 0.648
S 0.008 0.000 0.240
S 0.047 0.500 0.968
S 0.054 0.500 0.505
S 0.088 0.000 0.752
S 0.093 0.500 0.211
S 0.135 0.000 0.454
S 0.149 0.500 0.909
S 0.168 0.000 0.151
S 0.189 0.000 0.692
S 0.220 0.500 0.410
S 0.245 0.500 0.881

Main lines, in order of rising 2θ (10 to 90 degrees two-theta):
2θ (°), intensity, hkl
23.60, 80, 0 0 3
24.33, 100, 10 0 1
26.50, 63, 5 1 -1
27.47, 48, 10 0 -2
27.76, 60, 1 1 2
31.61, 61, 9 1 -1
34.06, 57, 11 1 0
42.23, 56, 11 1 3

=====

The following is a theoretical XRD peak list of CeU2S5. It was derived from a crystal structure in the Materials Project, relaxed with PBE, using CuKα.

Crystal structure
Unit cell a=11.655 b=7.352 c=7.974 alpha=90.00 beta=90.00 gamma=90.00
Space group Pna2_1 (No. 33)
One atom of each set of equivalent atoms:
Ce 0.176 0.031 0.000
U 0.008 0.575 0.247
U 0.179 0.027 0.497
S 0.001 0.961 0.248
S 0.093 0.673 0.544
S 0.097 0.665 0.954
S 0.190 0.335 0.249
S 0.217 0.305 0.748

Main lines, in order of rising 2θ (10 to 90 degrees two-theta):
2θ (°), intensity, hkl
24.21, 45, 0 2 0
25.94, 100, 3 1 0
26.56, 77, 1 1 2
27.10, 63, 2 0 2
36.65, 61, 2 2 2
46.80, 55, 6 0 0
53.14, 38, 3 1 4
72.71, 26, 6 2 4

=====

The following is a theoretical XRD peak list of Ce10US16. It was derived from a crystal structure in the Materials Project, relaxed with PBE, using CuKα.

Crystal structure
Unit cell a=8.488 b=8.488 c=8.467 alpha=90.00 beta=90.00 gamma=90.00
Space group P-4 (No. 81)
One atom of each set of equivalent atoms:
Ce 0.000 0.500 0.247
Ce 0.125 0.245 0.862
Ce 0.246 0.634 0.620
U 0.500 0.500 0.000
S 0.079 0.181 0.187
S 0.079 0.333 0.544
S 0.180 0.569 0.948
S 0.328 0.574 0.295

Main lines, in order of rising 2θ (10 to 90 degrees two-theta):
2θ (°), intensity, hkl
25.73, 100, 1 2 1
33.41, 99, 3 1 0
39.77, 62, 2 1 3
47.98, 40, 4 0 2
50.48, 26, 2 3 3
55.22, 28, 3 4 1
68.12, 24, 6 1 1
83.76, 16, 2 7 1

=====

The following is a theoretical XRD peak list of CeY3S6. It was derived from a crystal structure in the Materials Project, relaxed with PBE, using CuKα.

Crystal structure
Unit cell a=11.086 b=3.983 c=11.373 alpha=90.00 beta=108.85 gamma=90.00
Space group P2_1/m (No. 11)
One atom of each set of equivalent atoms:
Ce 0.049 0.250 0.193
Y 0.160 0.250 0.586
Y 0.319 0.750 0.999
Y 0.442 0.250 0.333
S 0.083 0.750 0.404
S 0.115 0.250 0.962
S 0.194 0.750 0.751
S 0.263 0.750 0.228
S 0.394 0.250 0.557
S 0.479 0.250 0.112

Main lines, in order of rising 2θ (10 to 90 degrees two-theta):
2θ (°), intensity, hkl
23.47, 74, 1 0 -3
23.82, 38, 0 1 1
24.08, 86, 3 0 -1
30.91, 100, 2 1 1
34.12, 73, 3 1 0
42.13, 66, 4 1 -3
43.71, 46, 1 1 4
45.55, 53, 0 2 0

=====

The following is a theoretical XRD peak list of CeY4S7. It was derived from a crystal structure in the Materials Project, relaxed with PBE, using CuKα.

Crystal structure
Unit cell a=13.062 b=3.819 c=11.701 alpha=90.00 beta=104.54 gamma=90.00
Space group Cm (No. 8)
One atom of each set of equivalent atoms:
Ce 0.000 0.000 0.000
Y 0.088 0.500 0.393
Y 0.188 0.000 0.767
Y 0.276 0.500 0.163
Y 0.388 0.500 0.579
S 0.046 0.500 0.632
S 0.136 0.500 0.931
S 0.149 0.000 0.232
S 0.229 0.000 0.528
S 0.343 0.500 0.791
S 0.385 0.000 0.084
S 0.432 0.500 0.366

Main lines, in order of rising 2θ (10 to 90 degrees two-theta):
2θ (°), intensity, hkl
23.58, 100, 2 0 2
24.23, 79, 2 0 -3
24.34, 37, 1 1 0
31.25, 68, 3 1 -1
32.90, 84, 3 1 -2
33.92, 47, 3 1 1
38.78, 42, 1 1 -4
47.62, 37, 0 2 0